(1)
For Li2TmTl5, the GGA-PBE geometry in Alexandria gives the theoretical powder diffraction line list in this record (Cu Kα).

Most intense lines, 2θ = 10–90°, sorted by position:
two_theta  Rel. int.
26.22  57
32.12  60
32.89  90
36.05  100
54.63  24
56.43  19
57.27  27
67.66  18

Cell and atoms:
Unit cell a=8.5140 b=8.5140 c=8.5140 alpha=124.88 beta=124.88 gamma=81.73
Positions (direct):
1 Li 0.1426 0.6426 0.7852
2 Li 0.3574 0.1426 0.5000
3 Li 0.6426 0.8574 0.5000
4 Li 0.8574 0.3574 0.2148
5 Tm 0.2500 0.2500 0.0000
6 Tm 0.7500 0.7500 0.0000
7 Tl 0.0000 0.0000 0.0000
8 Tl 0.0001 0.1996 0.5000
9 Tl 0.9999 0.8004 0.5000
10 Tl 0.1996 0.6996 0.1995
11 Tl 0.3004 0.4999 0.5000
12 Tl 0.4999 0.9999 0.1995
13 Tl 0.5001 0.0001 0.8005
14 Tl 0.5000 0.5000 0.0000
15 Tl 0.6996 0.5001 0.5000
16 Tl 0.8004 0.3004 0.8005

(2)
For Li2Tm3Tl6, the GGA-PBE geometry in Alexandria gives the theoretical powder diffraction line list in this record (Cu Kα).

Most intense lines, 2θ = 10–90°, sorted by position:
two_theta  Rel. int.
28.08  40
30.63  54
34.50  100
35.10  33
38.82  61
53.33  40
64.93  30
67.52  29

Cell and atoms:
Unit cell a=13.1969 b=13.1969 c=13.1969 alpha=159.75 beta=159.75 gamma=28.79
Positions (direct):
1 Li 0.0457 0.0457 0.0000
2 Li 0.9543 0.9543 0.0000
3 Tm 0.3094 0.3094 0.0000
4 Tm 0.5000 0.5000 0.0000
5 Tm 0.6906 0.6906 0.0000
6 Tl 0.0968 0.5968 0.5000
7 Tl 0.1904 0.1904 0.0000
8 Tl 0.4032 0.9032 0.5000
9 Tl 0.5968 0.0968 0.5000
10 Tl 0.8096 0.8096 0.0000
11 Tl 0.9032 0.4032 0.5000

(3)
For Li2TmTl5, the GGA-PBE geometry in Alexandria gives the theoretical powder diffraction line list in this record (Cu Kα).

Most intense lines, 2θ = 10–90°, sorted by position:
two_theta  Rel. int.
16.22  30
23.01  18
30.89  13
32.77  60
35.07  100
47.03  22
60.00  43
64.36  18

Cell and atoms:
Unit cell a=6.4437 b=6.4437 c=6.4437 alpha=106.30 beta=106.30 gamma=116.02
Positions (direct):
1 Li 0.0000 0.5000 0.5000
2 Li 0.5000 0.0000 0.5000
3 Tm 0.9996 0.9996 0.0000
4 Tl 0.0001 0.0001 0.5004
5 Tl 0.0001 0.4997 0.0000
6 Tl 0.4997 0.0001 0.0000
7 Tl 0.5004 0.5004 0.0000
8 Tl 0.4997 0.4997 0.4996

(4)
For LiTm2Tl6, the GGA-PBE geometry in Alexandria gives the theoretical powder diffraction line list in this record (Cu Kα).

Most intense lines, 2θ = 10–90°, sorted by position:
two_theta  Rel. int.
27.87  40
32.11  61
33.12  67
34.96  67
36.23  100
57.17  40
61.99  36
64.62  38

Cell and atoms:
Unit cell a=9.3373 b=9.3373 c=3.5465 alpha=90.00 beta=90.00 gamma=127.20
Positions (direct):
1 Li 0.0000 0.0000 0.0000
2 Tm 0.3047 0.6953 0.5000
3 Tm 0.6953 0.3047 0.5000
4 Tl 0.0288 0.3429 0.0000
5 Tl 0.3115 0.3115 0.5000
6 Tl 0.3429 0.0288 0.0000
7 Tl 0.6571 0.9712 0.0000
8 Tl 0.6885 0.6885 0.5000
9 Tl 0.9712 0.6571 0.0000

(5)
For LiTl2W, the GGA-PBE geometry in Alexandria gives the theoretical powder diffraction line list in this record (Cu Kα).

Most intense lines, 2θ = 10–90°, sorted by position:
two_theta  Rel. int.
15.44  31
24.08  35
31.17  48
35.05  100
36.42  34
37.23  43
47.60  63
49.32  27

Cell and atoms:
Unit cell a=3.0190 b=4.8298 c=5.7396 alpha=90.00 beta=90.00 gamma=90.00
Positions (direct):
1 Li 0.0000 0.0000 0.0000
2 Tl 0.0000 0.0000 0.5532
3 Tl 0.5000 0.5000 0.1420
4 W 0.5000 0.5000 0.6523

(6)
For LiYTl6, the GGA-PBE geometry in Alexandria gives the theoretical powder diffraction line list in this record (Cu Kα).

Most intense lines, 2θ = 10–90°, sorted by position:
two_theta  Rel. int.
32.53  100
37.24  17
37.93  17
38.05  16
54.25  24
64.20  15
65.13  14
65.30  14

Cell and atoms:
Unit cell a=6.6988 b=6.6988 c=4.8290 alpha=90.00 beta=90.00 gamma=90.18
Positions (direct):
1 Li 0.0000 0.0000 0.0000
2 Y 0.5000 0.5000 0.0000
3 Tl 0.0000 0.5000 0.0000
4 Tl 0.2456 0.2456 0.5000
5 Tl 0.2482 0.7518 0.5000
6 Tl 0.5000 0.0000 0.0000
7 Tl 0.7518 0.2482 0.5000
8 Tl 0.7544 0.7544 0.5000

(7)
For Li4YTl3, the GGA-PBE geometry in Alexandria gives the theoretical powder diffraction line list in this record (Cu Kα).

Most intense lines, 2θ = 10–90°, sorted by position:
two_theta  Rel. int.
25.49  100
27.68  15
35.79  37
36.90  47
45.38  24
52.35  20
59.87  20
65.77  17

Cell and atoms:
Unit cell a=8.7826 b=8.7826 c=8.7826 alpha=32.20 beta=32.20 gamma=32.20
Positions (direct):
1 Li 0.1092 0.1092 0.1092
2 Li 0.3695 0.3695 0.3695
3 Li 0.6305 0.6305 0.6305
4 Li 0.8908 0.8908 0.8908
5 Y 0.5000 0.5000 0.5000
6 Tl 0.0000 0.0000 0.0000
7 Tl 0.2359 0.2359 0.2359
8 Tl 0.7641 0.7641 0.7641

(8)
For Li8TlZn2, the GGA-PBE geometry in Alexandria gives the theoretical powder diffraction line list in this record (Cu Kα).

Most intense lines, 2θ = 10–90°, sorted by position:
two_theta  Rel. int.
17.97  95
20.63  96
21.50  56
23.89  67
25.95  100
27.43  58
38.19  60
38.50  59

Cell and atoms:
Unit cell a=7.8246 b=7.8246 c=5.8818 alpha=97.72 beta=97.72 gamma=31.91
Positions (direct):
1 Li 0.0564 0.0564 0.2316
2 Li 0.1376 0.1376 0.6977
3 Li 0.3121 0.3121 0.5952
4 Li 0.4041 0.4041 0.0360
5 Li 0.5959 0.5959 0.9640
6 Li 0.6879 0.6879 0.4048
7 Li 0.8624 0.8624 0.3023
8 Li 0.9436 0.9436 0.7684
9 Tl 0.5000 0.5000 0.5000
10 Zn 0.2307 0.2307 0.1219
11 Zn 0.7693 0.7693 0.8781

(9)
For Li7TlZn2, the GGA-PBE geometry in Alexandria gives the theoretical powder diffraction line list in this record (Cu Kα).

Most intense lines, 2θ = 10–90°, sorted by position:
two_theta  Rel. int.
18.32  52
24.38  100
29.22  18
35.96  42
39.61  31
43.95  42
47.06  17
55.41  15

Cell and atoms:
Unit cell a=4.5506 b=4.5506 c=9.6853 alpha=90.00 beta=90.00 gamma=120.00
Positions (direct):
1 Li 0.0000 0.0000 0.0000
2 Li 0.0000 0.0000 0.2465
3 Li 0.0000 0.0000 0.4977
4 Li 0.3333 0.6667 0.0561
5 Li 0.3333 0.6667 0.3702
6 Li 0.6667 0.3333 0.5839
7 Li 0.6667 0.3333 0.8679
8 Tl 0.6667 0.3333 0.2032
9 Zn 0.0000 0.0000 0.7471
10 Zn 0.3333 0.6667 0.7194

(10)
For Li2Tl2Zn, the GGA-PBE geometry in Alexandria gives the theoretical powder diffraction line list in this record (Cu Kα).

Most intense lines, 2θ = 10–90°, sorted by position:
two_theta  Rel. int.
17.43  32
24.70  43
24.89  94
25.04  37
35.31  75
35.49  50
35.66  100
39.70  28

Cell and atoms:
Unit cell a=5.4468 b=5.4468 c=7.1139 alpha=130.32 beta=130.32 gamma=44.50
Positions (direct):
1 Li 0.2136 0.2136 0.3021
2 Li 0.7864 0.7864 0.6979
3 Tl 0.4264 0.4264 0.1424
4 Tl 0.5736 0.5736 0.8576
5 Zn 0.0000 0.0000 0.5000

(11)
For Li4TlZn, the GGA-PBE geometry in Alexandria gives the theoretical powder diffraction line list in this record (Cu Kα).

Most intense lines, 2θ = 10–90°, sorted by position:
two_theta  Rel. int.
15.94  16
22.12  100
27.38  28
38.81  30
39.40  53
45.12  16
51.28  20
56.49  16

Cell and atoms:
Unit cell a=4.6409 b=4.6409 c=5.5615 alpha=90.09 beta=90.09 gamma=60.00
Positions (direct):
1 Li 0.1666 0.1663 0.2434
2 Li 0.1669 0.1669 0.7559
3 Li 0.8331 0.8331 0.2441
4 Li 0.8337 0.8334 0.7566
5 Tl 0.4995 0.5005 0.5000
6 Zn 0.5012 0.4988 0.0000

(12)
For Li7Tl2Zn, the GGA-PBE geometry in Alexandria gives the theoretical powder diffraction line list in this record (Cu Kα).

Most intense lines, 2θ = 10–90°, sorted by position:
two_theta  Rel. int.
17.41  35
23.89  100
28.36  32
34.64  35
38.99  31
42.05  25
42.99  22
46.25  18

Cell and atoms:
Unit cell a=4.6198 b=4.6198 c=10.1888 alpha=90.00 beta=90.00 gamma=120.00
Positions (direct):
1 Li 0.0000 0.0000 0.0000
2 Li 0.0000 0.0000 0.2344
3 Li 0.0000 0.0000 0.4758
4 Li 0.3333 0.6667 0.0261
5 Li 0.3333 0.6667 0.6264
6 Li 0.6667 0.3333 0.4422
7 Li 0.6667 0.3333 0.8558
8 Tl 0.0000 0.0000 0.7383
9 Tl 0.3333 0.6667 0.3163
10 Zn 0.6667 0.3333 0.1511

(13)
For LiTlZn2, the GGA-PBE geometry in Alexandria gives the theoretical powder diffraction line list in this record (Cu Kα).

Most intense lines, 2θ = 10–90°, sorted by position:
two_theta  Rel. int.
22.07  29
23.54  54
29.52  28
37.16  100
42.23  35
48.91  16
63.42  21
73.87  26

Cell and atoms:
Unit cell a=5.0382 b=5.0382 c=5.0382 alpha=129.73 beta=129.73 gamma=73.83
Positions (direct):
1 Li 0.0000 0.0000 0.0000
2 Tl 0.2500 0.7500 0.5000
3 Zn 0.5000 0.5000 0.0000
4 Zn 0.7500 0.2500 0.5000

(14)
For Li6Tl2Zn, the GGA-PBE geometry in Alexandria gives the theoretical powder diffraction line list in this record (Cu Kα).

Most intense lines, 2θ = 10–90°, sorted by position:
two_theta  Rel. int.
18.78  27
22.08  100
22.75  26
25.25  22
26.98  38
38.33  40
38.72  35
41.48  26

Cell and atoms:
Unit cell a=9.8318 b=9.8318 c=9.8318 alpha=27.63 beta=27.63 gamma=27.63
Positions (direct):
1 Li 0.0935 0.0935 0.0935
2 Li 0.1986 0.1986 0.1986
3 Li 0.3054 0.3054 0.3054
4 Li 0.6946 0.6946 0.6946
5 Li 0.8014 0.8014 0.8014
6 Li 0.9065 0.9065 0.9065
7 Tl 0.4055 0.4055 0.4055
8 Tl 0.5945 0.5945 0.5945
9 Zn 0.5000 0.5000 0.5000